The following is a theoretical powder X-ray diffraction pattern of Ce2S3O18. It was derived from a DFT-relaxed cell (GGA-PBE, the Materials Project), using Cu Kα (weighted mean of Kα1 and Kα2).

Atomic structure:
a b c (Å): 15.542 6.905 15.728
angles (deg): 90.00 94.20 90.00
Space group C2/c (No. 15)
Unique sites:
Ce 0.167 0.010 0.131 x8
S 0.000 0.280 0.750 x4
S 0.210 0.480 0.575 x8
O 0.020 0.107 0.126 x8
O 0.023 0.017 0.969 x8
O 0.049 0.389 0.816 x8
O 0.065 0.145 0.713 x8
O 0.152 0.309 0.568 x8
O 0.160 0.348 0.097 x8
O 0.215 0.056 0.361 x8
O 0.249 0.487 0.993 x8
O 0.250 0.027 0.224 x8

Most intense lines, 2θ = 10–90°, sorted by position:
hkl 2 0 0, 11.42°, intensity 45
hkl 1 1 0, 14.04°, intensity 48
hkl 2 0 -2, 15.47°, intensity 39
hkl 2 0 2, 16.66°, intensity 100
hkl 1 1 -2, 17.78°, intensity 28
hkl 4 0 -2, 24.87°, intensity 24
hkl 0 2 0, 25.81°, intensity 37
hkl 4 0 2, 26.40°, intensity 51
hkl 2 2 0, 28.30°, intensity 27
hkl 5 1 -6, 45.68°, intensity 21


The following is a theoretical powder X-ray diffraction pattern of CeS2O12. It was derived from a DFT-relaxed cell (GGA-PBE, the Materials Project), using Cu Kα (weighted mean of Kα1 and Kα2).

Atomic structure:
a b c (Å): 15.334 11.248 5.910
angles (deg): 90.00 90.00 90.00
Space group Pnma (No. 62)
Unique sites:
Ce 0.163 0.250 0.114 x4
S 0.153 0.553 0.389 x8
O 0.032 0.250 0.233 x4
O 0.072 0.151 0.919 x8
O 0.094 0.576 0.584 x8
O 0.104 0.599 0.192 x8
O 0.169 0.078 0.365 x8
O 0.206 0.750 0.854 x4
O 0.238 0.613 0.411 x8

Most intense lines, 2θ = 10–90°, sorted by position:
hkl 2 0 0, 11.54°, intensity 45
hkl 2 1 0, 13.98°, intensity 58
hkl 1 1 1, 17.91°, intensity 100
hkl 2 0 1, 18.96°, intensity 72
hkl 1 2 1, 22.58°, intensity 51
hkl 2 3 0, 26.46°, intensity 59
hkl 3 2 1, 28.01°, intensity 65
hkl 0 3 1, 28.19°, intensity 33
hkl 1 2 2, 34.79°, intensity 29
hkl 3 1 2, 36.00°, intensity 29